No. 1
# Li2MnVP2O8F2
Calculated powder XRD pattern, Cu Ka. Input: the PBE+U geometry in Alexandria.
Intensities are scaled so that the largest is 100.

Structural model:
a b c (Å): 5.1922 10.4063 10.4885
angles (deg): 78.31 83.04 80.63
Space group P1 (No. 1)
Unique sites:
Li 0.0000 0.0000 0.0000 [1 per cell]
Li 0.0058 0.1584 0.5410 [1 per cell]
Li 0.3391 0.6614 0.6706 [1 per cell]
Li 0.3468 0.8278 0.2026 [1 per cell]
Li 0.6618 0.3210 0.3404 [1 per cell]
Li 0.6789 0.4949 0.8721 [1 per cell]
Mn 0.1731 0.4098 0.1047 [1 per cell]
Mn 0.3449 0.7434 0.9374 [1 per cell]
Mn 0.6708 0.4111 0.6051 [1 per cell]
V 0.9997 0.0748 0.2728 [1 per cell]
V 0.5031 0.0801 0.7715 [1 per cell]
V 0.8402 0.7419 0.4383 [1 per cell]
P 0.1544 0.3757 0.7994 [1 per cell]
P 0.1871 0.4459 0.4104 [1 per cell]
P 0.4848 0.0364 0.4710 [1 per cell]
P 0.5159 0.1149 0.0753 [1 per cell]
P 0.8280 0.7043 0.1319 [1 per cell]
P 0.8610 0.7840 0.7423 [1 per cell]
O 0.0394 0.4067 0.9358 [1 per cell]
O 0.0755 0.7776 0.0865 [1 per cell]
O 0.0826 0.7159 0.8317 [1 per cell]
O 0.1237 0.5951 0.4075 [1 per cell]
O 0.2182 0.2275 0.7999 [1 per cell]
O 0.2646 0.1024 0.3816 [1 per cell]
O 0.2721 0.0401 0.1192 [1 per cell]
O 0.3028 0.4124 0.2751 [1 per cell]
O 0.3619 0.0647 0.6067 [1 per cell]
O 0.3999 0.4497 0.7498 [1 per cell]
O 0.4128 0.3811 0.4979 [1 per cell]
O 0.4479 0.2632 0.0787 [1 per cell]
O 0.5537 0.8875 0.4711 [1 per cell]
O 0.6079 0.7731 0.0419 [1 per cell]
O 0.6131 0.7106 0.7879 [1 per cell]
O 0.6418 0.0917 0.9382 [1 per cell]
O 0.7060 0.7335 0.2676 [1 per cell]
O 0.7301 0.1100 0.4260 [1 per cell]
O 0.7363 0.0461 0.1640 [1 per cell]
O 0.7941 0.9323 0.7416 [1 per cell]
O 0.8943 0.5553 0.1331 [1 per cell]
O 0.9272 0.4416 0.7129 [1 per cell]
O 0.9407 0.3728 0.4603 [1 per cell]
O 0.9794 0.7529 0.6068 [1 per cell]
F 0.0766 0.8750 0.3357 [1 per cell]
F 0.2676 0.9525 0.8715 [1 per cell]
F 0.4285 0.5399 0.0035 [1 per cell]
F 0.6047 0.6072 0.5394 [1 per cell]
F 0.7369 0.2148 0.6699 [1 per cell]
F 0.9233 0.2703 0.2104 [1 per cell]

Largest 10 diffraction maxima, in order of rising 2θ, 10° ≤ 2θ ≤ 90°:
2θ/deg, d [Å], I_rel, hkl
17.92, 4.949, 31, 0 1 2
18.34, 4.838, 32, 1 1 0
18.72, 4.741, 50, 1 0 1
22.35, 3.977, 20, -1 1 1
25.76, 3.458, 25, 1 0 -2
26.28, 3.391, 60, 1 2 -1
26.52, 3.361, 100, 0 3 0
29.27, 3.051, 79, 1 1 3
36.34, 2.472, 26, -1 2 3
54.60, 1.681, 23, -1 5 3

---

No. 2
# Li3MnVP2O8F2
Calculated powder XRD pattern, Cu Ka. Input: the PBE+U geometry in Alexandria.
Intensities are scaled so that the largest is 100.

Structural model:
a b c (Å): 5.3899 5.4229 7.5869
angles (deg): 109.38 108.83 94.14
Space group P1 (No. 1)
Unique sites:
Li 0.0000 0.0000 0.0000 [1 per cell]
Li 0.1974 0.3765 0.3695 [1 per cell]
Li 0.8012 0.6282 0.6309 [1 per cell]
Mn 0.5000 0.0030 0.0007 [1 per cell]
V 0.4995 0.0026 0.5006 [1 per cell]
P 0.1423 0.3565 0.7469 [1 per cell]
P 0.8567 0.6488 0.2544 [1 per cell]
O 0.1559 0.7441 0.4073 [1 per cell]
O 0.1658 0.6620 0.8453 [1 per cell]
O 0.2040 0.2120 0.8931 [1 per cell]
O 0.3260 0.3054 0.6194 [1 per cell]
O 0.6727 0.6999 0.3818 [1 per cell]
O 0.7951 0.7933 0.1082 [1 per cell]
O 0.8331 0.3434 0.1561 [1 per cell]
O 0.8429 0.2613 0.5941 [1 per cell]
F 0.3521 0.0970 0.2492 [1 per cell]
F 0.6470 0.9077 0.7519 [1 per cell]

Largest 10 diffraction maxima, in order of rising 2θ, 10° ≤ 2θ ≤ 90°:
2θ/deg, d [Å], I_rel, hkl
17.71, 5.008, 57, 0 1 0
17.84, 4.971, 16, 1 0 -1
22.46, 3.958, 20, 1 -1 0
25.98, 3.430, 100, 0 1 -2
26.14, 3.409, 93, 1 0 -2
26.26, 3.394, 25, -1 1 1
27.62, 3.229, 95, 1 1 0
36.75, 2.445, 18, 1 -2 0
43.49, 2.081, 21, 2 0 -3
53.40, 1.716, 30, 2 0 2

---

No. 3
# Li2MnVP2O8F2
Calculated powder XRD pattern, Cu Ka. Input: the PBE+U geometry in Alexandria.
Intensities are scaled so that the largest is 100.

Structural model:
a b c (Å): 5.2500 5.3125 7.4512
angles (deg): 109.51 104.96 97.92
Space group P-1 (No. 2)
Unique sites:
Li 0.0902 0.4342 0.3162 [2 per cell]
Mn 0.5000 0.5000 0.0000 [1 per cell]
V 0.0000 0.0000 0.5000 [1 per cell]
P 0.4501 0.1243 0.2629 [2 per cell]
O 0.2378 0.7780 0.6196 [2 per cell]
O 0.2895 0.1642 0.4141 [2 per cell]
O 0.3586 0.3251 0.1605 [2 per cell]
O 0.3670 0.8245 0.1108 [2 per cell]
F 0.1167 0.3272 0.7555 [2 per cell]

Largest 10 diffraction maxima, in order of rising 2θ, 10° ≤ 2θ ≤ 90°:
2θ/deg, d [Å], I_rel, hkl
18.03, 4.921, 86, 1 0 0
18.63, 4.762, 72, 1 0 -1
22.35, 3.978, 25, 1 -1 0
25.49, 3.495, 27, 1 -1 1
25.82, 3.450, 84, 1 0 1
26.61, 3.350, 100, 0 1 1
26.73, 3.335, 31, -1 1 1
29.26, 3.053, 99, 1 1 -2
34.25, 2.618, 27, 1 -1 2
36.48, 2.463, 46, 1 -2 1

---

No. 4
# LiMnSO4F
Calculated powder XRD pattern, Cu Ka. Input: the PBE+U geometry in Alexandria.
Intensities are scaled so that the largest is 100.

Structural model:
a b c (Å): 5.2678 5.6764 7.5814
angles (deg): 106.93 108.33 96.96
Space group P-1 (No. 2)
Unique sites:
Li 0.2347 0.3733 0.1992 [2 per cell]
Mn 0.5000 0.0000 0.0000 [1 per cell]
Mn 0.5000 0.0000 0.5000 [1 per cell]
S 0.1745 0.3648 0.7566 [2 per cell]
O 0.0963 0.7573 0.4047 [2 per cell]
O 0.1713 0.6353 0.8520 [2 per cell]
O 0.2222 0.2406 0.9096 [2 per cell]
O 0.3999 0.3510 0.6763 [2 per cell]
F 0.3783 0.1005 0.2449 [2 per cell]

Largest 10 diffraction maxima, in order of rising 2θ, 10° ≤ 2θ ≤ 90°:
2θ/deg, d [Å], I_rel, hkl
17.34, 5.114, 28, 0 1 -1
18.14, 4.889, 24, 1 0 -1
18.25, 4.861, 34, 1 0 0
25.04, 3.556, 34, -1 1 1
25.92, 3.438, 100, 0 1 -2
26.03, 3.423, 44, 1 0 -2
27.71, 3.220, 86, 1 1 0
33.81, 2.651, 19, -1 1 2
34.66, 2.588, 30, 1 -2 0
35.17, 2.552, 16, 1 -1 2